Calculated X-ray diffraction stick pattern of CsCd2In2Cl7 for a wavelength of 1.5418 Å, from a cell relaxed with GGA-PBE.
Neutral-atom scattering factors, no anomalous dispersion.

Principal peaks in the range 10 to 90 degrees two-theta, by angle:
23.15 deg, rel. 100; 23.41 deg, rel. 50; 23.68 deg, rel. 63; 24.01 deg, rel. 64; 31.18 deg, rel. 22; 33.54 deg, rel. 98; 33.65 deg, rel. 43; 40.46 deg, rel. 26; 41.31 deg, rel. 23; 47.31 deg, rel. 36

Cell and atoms:
a b c (Å): 7.610 7.516 13.677
angles (deg): 90.00 103.18 90.00
Space group C2/m (No. 12)
One atom of each set of equivalent atoms:
Cs1 0.000 0.000 0.000
Cd1 0.092 0.500 0.201
In1 0.235 0.000 0.366
Cl1 0.000 0.500 0.000
Cl2 0.135 0.500 0.394
Cl3 0.173 0.255 0.804